[1]
# Pr4NdDySe8
Simulated powder XRD pattern, Cu Kα (weighted mean of Kα1 and Kα2). Input: the GGA-PBE geometry in Alexandria.
Neutral-atom scattering factors, no anomalous dispersion.

Peak list (10 most intense, 2θ = 15–90°, sorted by position)
- 2θ 20.40, intensity 27
- 2θ 23.97, intensity 91
- 2θ 29.01, intensity 48
- 2θ 37.98, intensity 45
- 2θ 41.49, intensity 100
- 2θ 57.50, intensity 22
- 2θ 60.13, intensity 16
- 2θ 65.68, intensity 14
- 2θ 68.12, intensity 15
- 2θ 75.67, intensity 24

Cell and atoms:
```
Pr4NdDySe8
1.0
4.355 2.514 7.102
-4.355 2.514 7.102
0.000 -5.028 7.102
Pr Nd Dy Se
4 1 1 8
direct
0.000 0.000 0.000 Pr
0.377 0.377 0.870 Pr
0.377 0.870 0.377 Pr
0.870 0.377 0.377 Pr
0.377 0.377 0.377 Nd
0.750 0.750 0.750 Dy
0.133 0.133 0.133 Se
0.135 0.135 0.599 Se
0.135 0.599 0.135 Se
0.135 0.621 0.621 Se
0.599 0.135 0.135 Se
0.621 0.135 0.621 Se
0.621 0.621 0.135 Se
0.622 0.622 0.622 Se
```

---

[2]
# PrNd3Dy2Se6
Simulated powder XRD pattern, Cu Kα (weighted mean of Kα1 and Kα2). Input: the GGA-PBE geometry in Alexandria.
Neutral-atom scattering factors, no anomalous dispersion.

Peak list (10 most intense, 2θ = 15–90°, sorted by position)
- 2θ 26.11, intensity 13
- 2θ 30.20, intensity 100
- 2θ 43.14, intensity 37
- 2θ 43.23, intensity 12
- 2θ 43.38, intensity 24
- 2θ 53.66, intensity 13
- 2θ 62.80, intensity 12
- 2θ 71.08, intensity 11
- 2θ 71.21, intensity 11
- 2θ 71.47, intensity 11

Cell and atoms:
```
PrNd3Dy2Se6
1.0
3.609 -6.278 0.000
3.609 6.278 0.000
-2.414 0.000 6.863
Pr Nd Dy Se
1 3 2 6
direct
0.000 0.000 0.000 Pr
0.159 0.841 0.500 Nd
0.500 0.500 0.500 Nd
0.841 0.159 0.500 Nd
0.334 0.666 0.000 Dy
0.666 0.334 0.000 Dy
0.081 0.426 0.243 Se
0.265 0.265 0.763 Se
0.426 0.081 0.243 Se
0.574 0.919 0.757 Se
0.735 0.735 0.237 Se
0.919 0.574 0.757 Se
```

---

[3]
# Pr2Nd3SmDy6
Simulated powder XRD pattern, Cu Kα (weighted mean of Kα1 and Kα2). Input: the GGA-PBE geometry in Alexandria.
Neutral-atom scattering factors, no anomalous dispersion.

Peak list (10 most intense, 2θ = 15–90°, sorted by position)
- 2θ 30.26, intensity 100
- 2θ 30.59, intensity 32
- 2θ 35.18, intensity 67
- 2θ 50.39, intensity 24
- 2θ 50.82, intensity 24
- 2θ 59.91, intensity 14
- 2θ 60.11, intensity 29
- 2θ 60.49, intensity 14
- 2θ 62.94, intensity 12
- 2θ 82.01, intensity 12

Cell and atoms:
```
Pr2Nd3SmDy6
1.0
3.137 -5.433 0.000
3.137 5.433 0.000
-2.084 0.000 11.688
Pr Nd Sm Dy
2 3 1 6
direct
0.167 0.833 0.000 Pr
0.833 0.167 0.000 Pr
0.000 0.000 0.500 Nd
0.333 0.667 0.500 Nd
0.667 0.333 0.500 Nd
0.500 0.500 0.000 Sm
0.084 0.417 0.750 Dy
0.250 0.250 0.250 Dy
0.417 0.084 0.750 Dy
0.583 0.916 0.250 Dy
0.750 0.750 0.750 Dy
0.916 0.583 0.250 Dy
```

---

[4]
# Tb4PrNdDy2
Simulated powder XRD pattern, Cu Kα (weighted mean of Kα1 and Kα2). Input: the GGA-PBE geometry in Alexandria.
Neutral-atom scattering factors, no anomalous dispersion.

Peak list (10 most intense, 2θ = 15–90°, sorted by position)
- 2θ 30.50, intensity 100
- 2θ 35.36, intensity 51
- 2θ 50.88, intensity 36
- 2θ 60.49, intensity 43
- 2θ 63.48, intensity 12
- 2θ 74.81, intensity 6
- 2θ 82.88, intensity 13
- 2θ 82.97, intensity 4
- 2θ 85.55, intensity 14
- 2θ 85.61, intensity 3

Cell and atoms:
```
Tb4PrNdDy2
1.0
6.220 -3.591 0.000
6.220 3.591 0.000
-4.153 0.000 11.714
Tb Pr Nd Dy
8 2 2 4
direct
0.248 0.750 0.748 Tb
0.249 0.249 0.747 Tb
0.250 0.250 0.252 Tb
0.250 0.752 0.252 Tb
0.750 0.248 0.748 Tb
0.750 0.750 0.748 Tb
0.751 0.751 0.253 Tb
0.752 0.250 0.252 Tb
0.000 0.500 0.000 Pr
0.500 0.000 0.000 Pr
0.500 0.500 0.000 Nd
0.500 0.500 0.500 Nd
0.000 0.000 0.000 Dy
0.000 0.000 0.500 Dy
0.000 0.500 0.500 Dy
0.500 0.000 0.500 Dy
```

---

Which formula does entry 3 have?
Pr2Nd3SmDy6